[1]
Tl2CuP2O6: theoretical powder diffractogram (Cu Kα, 1.54184 Å), based on a crystal structure in Alexandria, relaxed with GGA-PBE.

Crystal structure
```
data_Tl2CuP2O6
_chemical_formula_sum 'Tl6 Cu3 P6 O18'
_space_group_name_H-M_alt 'R -3 m'
_space_group_IT_number 166
_space_group_name_Hall '-R 3 2"'
_cell_length_a 5.7646
_cell_length_b 5.7646
_cell_length_c 16.6215
_cell_angle_alpha 90.00
_cell_angle_beta 90.00
_cell_angle_gamma 120.00
loop_
_atom_site_label
_atom_site_fract_x
_atom_site_fract_y
_atom_site_fract_z
_atom_site_occupancy
Tl1 0.0000 0.0000 0.2223 1
Cu1 0.0000 0.0000 0.0000 1
P1 0.0000 0.0000 0.4305 1
O1 0.0324 0.5162 0.2577 1
```

Main lines, low angle first (2θ = 10–90°):
- (0 1 2), 20.76 deg, intensity 54
- (1 0 4), 27.94 deg, intensity 56
- (1 1 0), 31.03 deg, intensity 100
- (0 1 5), 32.35 deg, intensity 77
- (2 0 2), 37.63 deg, intensity 31
- (0 2 4), 42.21 deg, intensity 46
- (2 0 5), 45.43 deg, intensity 28
- (1 1 9), 59.44 deg, intensity 34



[2]
Pr12Nd7Er: theoretical powder diffractogram (Cu Kα, 1.54184 Å), based on a crystal structure in Alexandria, relaxed with GGA-PBE.

Crystal structure
```
data_Pr12Nd7Er
_chemical_formula_sum 'Pr36 Nd21 Er3'
_space_group_name_H-M_alt 'R -3 m'
_space_group_IT_number 166
_space_group_name_Hall '-R 3 2"'
_cell_length_a 19.8476
_cell_length_b 19.8476
_cell_length_c 6.3963
_cell_angle_alpha 90.00
_cell_angle_beta 90.00
_cell_angle_gamma 120.00
loop_
_atom_site_label
_atom_site_fract_x
_atom_site_fract_y
_atom_site_fract_z
_atom_site_occupancy
Pr1 0.0000 0.4107 0.0000 1
Pr2 0.0966 0.5483 0.4670 1
Nd1 0.0000 0.0000 0.0000 1
Nd2 0.0831 0.1662 0.2939 1
Er1 0.0000 0.0000 0.5000 1
```

Main lines, low angle first (2θ = 10–90°):
- (3 3 0), 26.95 deg, intensity 51
- (0 5 1), 29.50 deg, intensity 100
- (2 0 2), 29.81 deg, intensity 51
- (5 1 1), 32.20 deg, intensity 46
- (5 2 0), 32.53 deg, intensity 47
- (5 0 2), 38.44 deg, intensity 40
- (7 0 1), 39.30 deg, intensity 28
- (0 7 2), 46.63 deg, intensity 29